Record 1
Starting from a cell relaxed with GGA-PBE, the powder X-ray diffraction pattern of K3Rb8Ag was computed for Cu Kα.
Lines closer than 0.1° are merged.

Atomic structure:
Cell: 14.7469 14.7469 9.8171 Å, 90.00 90.00 120.00°
Space group P6_3mc (No. 186)
Asymmetric unit:
K (0.1551, 0.3102, 0.0000) x6
Rb (0.0000, 0.0000, 0.2535) x2
Rb (0.0466, 0.5233, 0.2302) x6
Rb (0.2059, 0.4118, 0.5191) x6
Rb (0.3333, 0.6667, 0.9214) x2
Ag (0.3333, 0.6667, 0.3142) x2

Largest 10 diffraction maxima, low angle first, 2θ = 10–80°:
| two_theta | d_spacing | I (rel.) |
| --- | --- | --- |
| 11.37 | 7.783 | 16 |
| 21.75 | 4.086 | 18 |
| 22.83 | 3.896 | 100 |
| 24.14 | 3.687 | 67 |
| 25.89 | 3.442 | 13 |
| 27.74 | 3.216 | 14 |
| 31.88 | 2.808 | 14 |
| 33.46 | 2.678 | 19 |
| 36.58 | 2.457 | 17 |
| 41.34 | 2.184 | 20 |

Record 2
Starting from a cell relaxed with GGA-PBE, the powder X-ray diffraction pattern of Th4PdPt was computed for Cu Kα.
Lines closer than 0.1° are merged.

Atomic structure:
Cell: 7.339 7.339 5.967 Å, 90.00 90.00 90.00°
Space group P4/mcc (No. 124)
Asymmetric unit:
Th (0.162, 0.335, 0.000) x8
Pd (0.500, 0.500, 0.250) x2
Pt (0.000, 0.000, 0.250) x2

Largest 10 diffraction maxima, low angle first, 2θ = 10–80°:
| two_theta | d_spacing | I (rel.) |
| --- | --- | --- |
| 29.95 | 2.983 | 10 |
| 31.10 | 2.876 | 100 |
| 34.68 | 2.586 | 24 |
| 38.80 | 2.321 | 35 |
| 38.91 | 2.315 | 31 |
| 53.74 | 1.706 | 19 |
| 53.90 | 1.701 | 22 |
| 59.11 | 1.563 | 12 |
| 62.02 | 1.496 | 22 |
| 70.94 | 1.329 | 11 |

Record 3
Starting from a cell relaxed with GGA-PBE, the powder X-ray diffraction pattern of Sm4Zn3Pd was computed for Cu Kα.
Lines closer than 0.1° are merged.

Atomic structure:
Cell: 3.652 3.652 14.300 Å, 90.00 90.00 90.00°
Space group P4/mmm (No. 123)
Asymmetric unit:
Sm (0.000, 0.000, 0.120) x2
Sm (0.000, 0.000, 0.374) x2
Zn (0.500, 0.500, 0.250) x2
Zn (0.500, 0.500, 0.500) x1
Pd (0.500, 0.500, 0.000) x1

Largest 10 diffraction maxima, low angle first, 2θ = 10–80°:
| two_theta | d_spacing | I (rel.) |
| --- | --- | --- |
| 24.37 | 3.652 | 11 |
| 24.91 | 3.575 | 5 |
| 34.74 | 2.582 | 52 |
| 35.13 | 2.555 | 100 |
| 49.94 | 1.826 | 18 |
| 51.10 | 1.787 | 8 |
| 62.52 | 1.486 | 37 |
| 63.27 | 1.470 | 17 |
| 73.32 | 1.291 | 6 |
| 74.25 | 1.277 | 11 |

Record 4
Starting from a cell relaxed with GGA-PBE, the powder X-ray diffraction pattern of K3MgTe2O6 was computed for Cu Kα.
Lines closer than 0.1° are merged.

Atomic structure:
Cell: 5.8995 5.8995 7.0145 Å, 90.00 90.00 120.00°
Space group P-3m1 (No. 164)
Asymmetric unit:
K (0.0000, 0.0000, 0.0000) x1
K (0.3333, 0.6667, 0.6507) x2
Mg (0.0000, 0.0000, 0.5000) x1
Te (0.3333, 0.6667, 0.1794) x2
O (0.1706, 0.3413, 0.3145) x6

Largest 10 diffraction maxima, low angle first, 2θ = 10–80°:
| two_theta | d_spacing | I (rel.) |
| --- | --- | --- |
| 17.36 | 5.109 | 20 |
| 21.52 | 4.130 | 99 |
| 30.30 | 2.950 | 100 |
| 30.93 | 2.892 | 96 |
| 43.84 | 2.065 | 65 |
| 48.92 | 1.862 | 21 |
| 53.83 | 1.703 | 19 |
| 54.22 | 1.692 | 38 |
| 63.03 | 1.475 | 19 |
| 64.45 | 1.446 | 19 |

Record 5
Starting from a cell relaxed with GGA-PBE, the powder X-ray diffraction pattern of Ti5CoSe10 was computed for Cu Kα.
Lines closer than 0.1° are merged.

Atomic structure:
Cell: 6.137 6.970 8.576 Å, 106.77 110.90 90.05°
Space group P-1 (No. 2)
Asymmetric unit:
Ti (0.000, 0.000, 0.000) x1
Ti (0.191, 0.399, 0.398) x2
Ti (0.406, 0.796, 0.799) x2
Co (0.500, 0.500, 0.000) x1
Se (0.085, 0.756, 0.499) x2
Se (0.121, 0.643, 0.907) x2
Se (0.280, 0.155, 0.893) x2
Se (0.316, 0.048, 0.303) x2
Se (0.481, 0.560, 0.298) x2

Largest 10 diffraction maxima, low angle first, 2θ = 10–80°:
| two_theta | d_spacing | I (rel.) |
| --- | --- | --- |
| 29.76 | 3.002 | 10 |
| 32.79 | 2.731 | 100 |
| 42.12 | 2.145 | 46 |
| 51.63 | 1.770 | 31 |
| 54.76 | 1.676 | 16 |
| 60.73 | 1.525 | 8 |
| 61.81 | 1.501 | 6 |
| 62.47 | 1.487 | 5 |
| 62.55 | 1.485 | 10 |
| 68.74 | 1.366 | 8 |

Record 6
Starting from a cell relaxed with GGA-PBE, the powder X-ray diffraction pattern of UBr3N was computed for Cu Kα.
Lines closer than 0.1° are merged.

Atomic structure:
Cell: 6.154 6.154 10.329 Å, 83.53 83.74 68.26°
Space group P-1 (No. 2)
Asymmetric unit:
U (0.250, 0.250, 0.000) x2
Br (0.040, 0.538, 0.216) x2
Br (0.261, 0.762, 0.914) x2
Br (0.403, 0.901, 0.216) x2
N (0.305, 0.803, 0.565) x2

Largest 10 diffraction maxima, low angle first, 2θ = 10–80°:
| two_theta | d_spacing | I (rel.) |
| --- | --- | --- |
| 17.57 | 5.049 | 100 |
| 18.53 | 4.789 | 76 |
| 31.25 | 2.862 | 100 |
| 31.95 | 2.801 | 49 |
| 33.26 | 2.693 | 68 |
| 34.86 | 2.574 | 87 |
| 35.52 | 2.528 | 56 |
| 37.15 | 2.420 | 60 |
| 37.25 | 2.414 | 83 |
| 41.62 | 2.170 | 46 |

Record 7
Starting from a cell relaxed with GGA-PBE, the powder X-ray diffraction pattern of Co5As3 was computed for Cu Kα.
Lines closer than 0.1° are merged.

Atomic structure:
Cell: 8.749 7.340 6.121 Å, 90.00 90.00 90.00°
Space group Pnma (No. 62)
Asymmetric unit:
Co (0.012, 0.250, 0.031) x4
Co (0.070, 0.041, 0.702) x8
Co (0.180, 0.750, 0.317) x4
Co (0.234, 0.750, 0.735) x4
As (0.023, 0.250, 0.422) x4
As (0.180, 0.517, 0.047) x8

Largest 10 diffraction maxima, low angle first, 2θ = 10–80°:
| two_theta | d_spacing | I (rel.) |
| --- | --- | --- |
| 34.05 | 2.633 | 16 |
| 35.12 | 2.555 | 14 |
| 39.70 | 2.271 | 40 |
| 42.25 | 2.139 | 34 |
| 43.16 | 2.096 | 19 |
| 43.72 | 2.070 | 100 |
| 45.70 | 1.985 | 28 |
| 48.45 | 1.879 | 17 |
| 49.69 | 1.835 | 36 |
| 50.89 | 1.794 | 30 |